[1]
The following is a simulated powder diffractogram of LaTmCd4. It was derived from a crystal structure in OQMD, relaxed with GGA-PBE, using copper Kα.

Cell and atoms:
Cell: 3.389 4.996 8.699 Å, 90.00 90.03 90.00°
Element x y z (fractional)
La1 0.000 0.000 0.000
Tm1 0.000 0.500 0.500
Cd1 0.497 0.000 0.660
Cd2 0.497 0.500 0.175
Cd3 0.503 0.000 0.340
Cd4 0.503 0.500 0.825

Main lines, in order of falling intensity (2θ = 15–90°):
2.671 Å, 2θ 33.56, I = 100
2.508 Å, 2θ 35.81, I = 57
2.498 Å, 2θ 35.95, I = 28
1.825 Å, 2θ 49.97, I = 22
1.404 Å, 2θ 66.61, I = 18
1.478 Å, 2θ 62.89, I = 16
1.473 Å, 2θ 63.12, I = 10
1.830 Å, 2θ 49.82, I = 10
1.444 Å, 2θ 64.53, I = 10
1.402 Å, 2θ 66.70, I = 9

=====

[2]
The following is a simulated powder diffractogram of LiCd12. It was derived from a crystal structure in OQMD, relaxed with GGA-PBE, using copper Kα.

Cell and atoms:
Cell: 5.758 5.758 9.981 Å, 90.00 90.00 120.00°
Element x y z (fractional)
Li1 0.000 0.000 0.000
Cd1 0.000 0.000 0.354
Cd2 0.000 0.000 0.646
Cd3 0.000 0.500 0.244
Cd4 0.000 0.500 0.756
Cd5 0.333 0.667 0.000
Cd6 0.333 0.667 0.500
Cd7 0.500 0.000 0.244
Cd8 0.500 0.000 0.756
Cd9 0.500 0.500 0.244
Cd10 0.500 0.500 0.756
Cd11 0.667 0.333 0.000
Cd12 0.667 0.333 0.500

Main lines, in order of falling intensity (2θ = 15–90°):
2.231 Å, 2θ 40.44, I = 100
2.494 Å, 2θ 36.01, I = 81
1.440 Å, 2θ 64.74, I = 29
4.988 Å, 2θ 17.78, I = 23
1.210 Å, 2θ 79.19, I = 18
1.504 Å, 2θ 61.67, I = 17
2.879 Å, 2θ 31.06, I = 16
1.247 Å, 2θ 76.37, I = 15
2.767 Å, 2θ 32.35, I = 11
1.577 Å, 2θ 58.53, I = 10

=====

[3]
The following is a simulated powder diffractogram of LiCd12. It was derived from a crystal structure in OQMD, relaxed with GGA-PBE, using copper Kα.

Cell and atoms:
Cell: 5.758 5.758 9.981 Å, 90.00 90.00 120.00°
Element x y z (fractional)
Li1 0.000 0.000 0.000
Cd1 0.000 0.000 0.354
Cd2 0.000 0.000 0.646
Cd3 0.000 0.500 0.244
Cd4 0.000 0.500 0.756
Cd5 0.333 0.667 0.000
Cd6 0.333 0.667 0.500
Cd7 0.500 0.000 0.244
Cd8 0.500 0.000 0.756
Cd9 0.500 0.500 0.244
Cd10 0.500 0.500 0.756
Cd11 0.667 0.333 0.000
Cd12 0.667 0.333 0.500

Main lines, in order of falling intensity (2θ = 15–90°):
2.231 Å, 2θ 40.44, I = 100
2.494 Å, 2θ 36.01, I = 81
1.440 Å, 2θ 64.74, I = 29
4.988 Å, 2θ 17.78, I = 23
1.210 Å, 2θ 79.19, I = 18
1.504 Å, 2θ 61.67, I = 17
2.879 Å, 2θ 31.06, I = 16
1.247 Å, 2θ 76.37, I = 15
2.767 Å, 2θ 32.35, I = 11
1.577 Å, 2θ 58.53, I = 10

=====

[4]
The following is a simulated powder diffractogram of Li13Cd4. It was derived from a crystal structure in OQMD, relaxed with GGA-PBE, using copper Kα.

Cell and atoms:
Cell: 8.090 15.195 4.572 Å, 90.00 90.00 90.00°
Element x y z (fractional)
Li1 0.000 0.000 0.000
Li2 0.056 0.305 0.000
Li3 0.078 0.126 0.500
Li4 0.142 0.477 0.000
Li5 0.215 0.957 0.500
Li6 0.231 0.769 0.500
Li7 0.247 0.146 0.000
Li8 0.253 0.646 0.000
Li9 0.269 0.269 0.500
Li10 0.285 0.457 0.500
Li11 0.358 0.977 0.000
Li12 0.422 0.626 0.500
Li13 0.444 0.805 0.000
Li14 0.500 0.500 0.000
Li15 0.556 0.195 0.000
Li16 0.578 0.374 0.500
Li17 0.642 0.023 0.000
Li18 0.715 0.543 0.500
Li19 0.731 0.731 0.500
Li20 0.747 0.354 0.000
Li21 0.753 0.854 0.000
Li22 0.769 0.231 0.500
Li23 0.785 0.043 0.500
Li24 0.858 0.523 0.000
Li25 0.922 0.874 0.500
Li26 0.944 0.695 0.000
Cd1 0.055 0.600 0.500
Cd2 0.118 0.843 0.000
Cd3 0.382 0.343 0.000
Cd4 0.445 0.100 0.500
Cd5 0.555 0.900 0.500
Cd6 0.618 0.657 0.000
Cd7 0.882 0.157 0.000
Cd8 0.945 0.400 0.500

Main lines, in order of falling intensity (2θ = 15–90°):
3.850 Å, 2θ 23.10, I = 100
3.911 Å, 2θ 22.74, I = 77
3.526 Å, 2θ 25.26, I = 54
2.221 Å, 2θ 40.62, I = 52
3.130 Å, 2θ 28.52, I = 44
3.799 Å, 2θ 23.42, I = 41
2.215 Å, 2θ 40.73, I = 32
2.286 Å, 2θ 39.42, I = 26
2.845 Å, 2θ 31.45, I = 21
2.146 Å, 2θ 42.11, I = 20

=====

[5]
The following is a simulated powder diffractogram of Li5Cd2. It was derived from a crystal structure in OQMD, relaxed with GGA-PBE, using copper Kα.

Cell and atoms:
Cell: 9.871 9.871 9.770 Å, 90.00 90.00 90.00°
Element x y z (fractional)
Li1 0.024 0.412 0.411
Li2 0.036 0.855 0.968
Li3 0.060 0.940 0.250
Li4 0.088 0.524 0.661
Li5 0.104 0.700 0.428
Li6 0.132 0.132 0.000
Li7 0.145 0.964 0.532
Li8 0.175 0.242 0.649
Li9 0.200 0.396 0.178
Li10 0.242 0.175 0.351
Li11 0.258 0.675 0.899
Li12 0.300 0.896 0.072
Li13 0.325 0.742 0.601
Li14 0.355 0.464 0.718
Li15 0.368 0.632 0.250
Li16 0.396 0.200 0.822
Li17 0.412 0.024 0.589
Li18 0.440 0.440 0.000
Li19 0.464 0.355 0.282
Li20 0.476 0.912 0.839
Li21 0.524 0.088 0.339
Li22 0.536 0.645 0.782
Li23 0.560 0.560 0.500
Li24 0.588 0.976 0.089
Li25 0.604 0.800 0.322
Li26 0.632 0.368 0.750
Li27 0.645 0.536 0.218
Li28 0.675 0.258 0.101
Li29 0.700 0.104 0.572
Li30 0.742 0.325 0.399
Li31 0.758 0.825 0.851
Li32 0.800 0.604 0.678
Li33 0.825 0.758 0.149
Li34 0.855 0.036 0.032
Li35 0.868 0.868 0.500
Li36 0.896 0.300 0.928
Li37 0.912 0.476 0.161
Li38 0.940 0.060 0.750
Li39 0.964 0.145 0.468
Li40 0.976 0.588 0.911
Cd1 0.022 0.780 0.704
Cd2 0.111 0.668 0.155
Cd3 0.168 0.389 0.905
Cd4 0.220 0.978 0.796
Cd5 0.280 0.478 0.454
Cd6 0.332 0.889 0.345
Cd7 0.389 0.168 0.095
Cd8 0.478 0.280 0.546
Cd9 0.522 0.720 0.046
Cd10 0.611 0.832 0.595
Cd11 0.668 0.111 0.845
Cd12 0.720 0.522 0.954
Cd13 0.780 0.022 0.296
Cd14 0.832 0.611 0.405
Cd15 0.889 0.332 0.655
Cd16 0.978 0.220 0.204

Main lines, in order of falling intensity (2θ = 15–90°):
3.276 Å, 2θ 27.22, I = 100
4.023 Å, 2θ 22.10, I = 64
4.408 Å, 2θ 20.15, I = 60
3.472 Å, 2θ 25.66, I = 58
2.392 Å, 2θ 37.61, I = 49
2.974 Å, 2θ 30.05, I = 41
4.378 Å, 2θ 20.28, I = 41
3.490 Å, 2θ 25.52, I = 40
2.326 Å, 2θ 38.71, I = 34
1.899 Å, 2θ 47.90, I = 29

=====

[6]
The following is a simulated powder diffractogram of Li8Cd3. It was derived from a crystal structure in OQMD, relaxed with GGA-PBE, using copper Kα.

Cell and atoms:
Cell: 4.609 4.609 10.741 Å, 102.35 102.35 60.04°
Element x y z (fractional)
Li1 0.090 0.090 0.269
Li2 0.179 0.179 0.539
Li3 0.271 0.271 0.813
Li4 0.363 0.363 0.089
Li5 0.637 0.637 0.911
Li6 0.729 0.729 0.187
Li7 0.821 0.821 0.461
Li8 0.910 0.910 0.731
Cd1 0.000 0.000 0.000
Cd2 0.453 0.453 0.358
Cd3 0.547 0.547 0.642

Main lines, in order of falling intensity (2θ = 15–90°):
3.868 Å, 2θ 22.99, I = 100
2.314 Å, 2θ 38.93, I = 43
2.305 Å, 2θ 39.08, I = 43
3.555 Å, 2θ 25.05, I = 35
1.920 Å, 2θ 47.35, I = 31
2.975 Å, 2θ 30.04, I = 28
3.469 Å, 2θ 25.68, I = 28
2.058 Å, 2θ 43.99, I = 16
1.980 Å, 2θ 45.82, I = 16
1.633 Å, 2θ 56.34, I = 14

=====

[7]
The following is a simulated powder diffractogram of Li3Cd7. It was derived from a crystal structure in OQMD, relaxed with GGA-PBE, using copper Kα.

Cell and atoms:
Cell: 7.292 9.902 10.879 Å, 107.40 97.53 90.02°
Element x y z (fractional)
Li1 0.035 0.105 0.363
Li2 0.123 0.479 0.353
Li3 0.171 0.660 0.091
Li4 0.268 0.037 0.058
Li5 0.315 0.240 0.801
Li6 0.460 0.808 0.507
Li7 0.540 0.192 0.493
Li8 0.685 0.760 0.199
Li9 0.732 0.963 0.942
Li10 0.829 0.340 0.909
Li11 0.877 0.521 0.647
Li12 0.965 0.895 0.637
Cd1 0.020 0.102 0.868
Cd2 0.053 0.797 0.857
Cd3 0.083 0.773 0.357
Cd4 0.152 0.495 0.829
Cd5 0.191 0.367 0.060
Cd6 0.195 0.664 0.609
Cd7 0.205 0.345 0.553
Cd8 0.249 0.043 0.560
Cd9 0.349 0.253 0.281
Cd10 0.352 0.945 0.793
Cd11 0.360 0.924 0.285
Cd12 0.430 0.591 0.270
Cd13 0.448 0.786 0.982
Cd14 0.500 0.500 0.000
Cd15 0.500 0.500 0.500
Cd16 0.552 0.214 0.018
Cd17 0.570 0.409 0.730
Cd18 0.640 0.076 0.715
Cd19 0.648 0.055 0.207
Cd20 0.651 0.747 0.719
Cd21 0.751 0.957 0.440
Cd22 0.795 0.655 0.447
Cd23 0.805 0.336 0.391
Cd24 0.809 0.633 0.940
Cd25 0.848 0.505 0.171
Cd26 0.917 0.227 0.643
Cd27 0.947 0.203 0.143
Cd28 0.980 0.898 0.132

Main lines, in order of falling intensity (2θ = 15–90°):
2.322 Å, 2θ 38.78, I = 100
2.330 Å, 2θ 38.65, I = 49
2.311 Å, 2θ 38.98, I = 34
3.298 Å, 2θ 27.04, I = 29
3.268 Å, 2θ 27.29, I = 27
3.280 Å, 2θ 27.19, I = 26
4.027 Å, 2θ 22.08, I = 26
2.305 Å, 2θ 39.07, I = 18
1.339 Å, 2θ 70.32, I = 11
1.634 Å, 2θ 56.30, I = 10

=====

[8]
The following is a simulated powder diffractogram of LiCd. It was derived from a crystal structure in OQMD, relaxed with GGA-PBE, using copper Kα.

Cell and atoms:
Cell: 3.036 3.036 4.748 Å, 90.00 90.00 120.00°
Element x y z (fractional)
Li1 0.000 0.000 0.000
Cd1 0.333 0.667 0.500

Main lines, in order of falling intensity (2θ = 15–90°):
2.300 Å, 2θ 39.17, I = 100
4.748 Å, 2θ 18.69, I = 96
2.629 Å, 2θ 34.10, I = 67
1.762 Å, 2θ 51.90, I = 39
2.374 Å, 2θ 37.90, I = 19
1.446 Å, 2θ 64.45, I = 19
1.356 Å, 2θ 69.30, I = 17
1.279 Å, 2θ 74.15, I = 15
1.267 Å, 2θ 74.97, I = 14
1.518 Å, 2θ 61.05, I = 13

=====

[9]
The following is a simulated powder diffractogram of Li4MgCdPb2. It was derived from a crystal structure in OQMD, relaxed with GGA-PBE, using copper Kα.

Cell and atoms:
Cell: 4.841 4.841 6.796 Å, 90.00 90.00 90.00°
Element x y z (fractional)
Li1 0.000 0.000 0.000
Li2 0.000 0.500 0.239
Li3 0.500 0.000 0.761
Li4 0.500 0.500 0.500
Mg1 0.000 0.000 0.500
Cd1 0.500 0.500 0.000
Pb1 0.000 0.500 0.739
Pb2 0.500 0.000 0.261

Main lines, in order of falling intensity (2θ = 15–90°):
3.943 Å, 2θ 22.55, I = 100
2.412 Å, 2θ 37.29, I = 52
2.063 Å, 2θ 43.89, I = 36
2.421 Å, 2θ 37.14, I = 27
1.396 Å, 2θ 67.05, I = 19
2.052 Å, 2θ 44.14, I = 17
1.565 Å, 2θ 59.02, I = 15
3.423 Å, 2θ 26.03, I = 14
1.712 Å, 2θ 53.54, I = 9
1.391 Å, 2θ 67.33, I = 9

=====

[10]
The following is a simulated powder diffractogram of LiNdCdSe3. It was derived from a crystal structure in OQMD, relaxed with GGA-PBE, using copper Kα.

Cell and atoms:
Cell: 11.579 4.233 13.451 Å, 90.00 90.00 90.00°
Element x y z (fractional)
Li1 0.130 0.250 0.023
Li2 0.370 0.750 0.523
Li3 0.630 0.250 0.477
Li4 0.870 0.750 0.977
Nd1 0.022 0.250 0.743
Nd2 0.478 0.750 0.243
Nd3 0.522 0.250 0.757
Nd4 0.978 0.750 0.257
Cd1 0.225 0.250 0.293
Cd2 0.275 0.750 0.793
Cd3 0.725 0.250 0.207
Cd4 0.775 0.750 0.707
Se1 0.033 0.250 0.393
Se2 0.083 0.750 0.900
Se3 0.227 0.750 0.165
Se4 0.273 0.250 0.665
Se5 0.417 0.250 0.400
Se6 0.467 0.750 0.893
Se7 0.533 0.250 0.107
Se8 0.583 0.750 0.600
Se9 0.727 0.750 0.335
Se10 0.773 0.250 0.835
Se11 0.917 0.250 0.100
Se12 0.967 0.750 0.607

Main lines, in order of falling intensity (2θ = 15–90°):
2.718 Å, 2θ 32.96, I = 100
2.115 Å, 2θ 42.75, I = 58
2.975 Å, 2θ 30.04, I = 43
3.812 Å, 2θ 23.33, I = 30
3.078 Å, 2θ 29.01, I = 30
2.659 Å, 2θ 33.71, I = 27
2.895 Å, 2θ 30.89, I = 25
1.957 Å, 2θ 46.40, I = 22
3.312 Å, 2θ 26.92, I = 20
2.091 Å, 2θ 43.28, I = 19